Calculated X-ray powder pattern
Compound: Na2SnH6O6
Radiation: copper Kα
Structure: DFT lattice parameters and positions (GGA-PBE)
Intensities are scaled so that the largest is 100.

Main lines, by intensity (15 to 90 degrees two-theta):
Position (°2θ)	I (rel.)	h k l
35.40	100	1 1 3
17.44	99	1 0 1
21.48	81	0 1 2
27.68	48	1 1 0
52.85	35	2 -1 6
21.63	33	0 0 3

Structural model:
```
data_Na2SnH6O6
_chemical_formula_sum 'Na6 Sn3 H18 O18'
_cell_length_a 6.4457
_cell_length_b 6.4457
_cell_length_c 12.3262
_cell_angle_alpha 90.00
_cell_angle_beta 90.00
_cell_angle_gamma 120.00
_space_group_name_H-M_alt 'R -3'
_space_group_IT_number 148
_space_group_name_Hall '-R 3'
loop_
_atom_site_label
_atom_site_type_symbol
_atom_site_fract_x
_atom_site_fract_y
_atom_site_fract_z
Na1 Na 0.0000 0.0000 0.1792
Sn1 Sn 0.0000 0.0000 0.5000
H1 H 0.0021 0.4319 0.3110
O1 O 0.0256 0.5625 0.2600
```